Diffraction record for Ca3Cu8Ni. The X-ray diffraction stick pattern is computed, not measured: it uses a cell relaxed with PBE and Cu Ka.
Peak positions follow from Bragg's law for the DFT cell and can differ from measured ones.

Largest 10 diffraction maxima, in order of rising 2θ, 2θ from 10° to 80°:
| 2theta | I/Imax |
| --- | --- |
| 21.13 | 25 |
| 34.85 | 16 |
| 41.12 | 100 |
| 43.03 | 55 |
| 50.11 | 13 |
| 54.96 | 7 |
| 66.74 | 14 |
| 66.78 | 11 |
| 73.59 | 23 |
| 77.53 | 5 |

Crystal structure
Cell lengths 8.926, 8.926, 8.926 Å; angles 33.51, 33.51, 33.51 degrees
Sites, in units of the cell vectors:
Ca  0.000  0.000  0.000
Ca  0.130  0.130  0.130
Ca  0.610  0.610  0.610
Cu  0.057  0.057  0.563
Cu  0.057  0.563  0.057
Cu  0.068  0.562  0.562
Cu  0.311  0.311  0.311
Cu  0.562  0.068  0.562
Cu  0.562  0.562  0.068
Cu  0.563  0.057  0.057
Cu  0.812  0.812  0.812
Ni  0.486  0.486  0.486